Starting from a GGA-PBE-relaxed structure, the powder diffractogram of Mn4Fe2P3 was computed for Cu Kα (λ = 1.5418 Å).
Peak positions follow from Bragg's law for the DFT cell and can differ from measured ones.

Structure:
Cell: 3.2504 10.5379 6.1290 Å, 90.00 90.00 90.00°
Space group Amm2 (No. 38)
Symmetry-distinct sites (fractional):
Mn 0.0000 0.0000 0.0000 (multiplicity 2)
Mn 0.0000 0.1309 0.3848 (multiplicity 4)
Mn 0.5000 0.0000 0.6563 (multiplicity 2)
Fe 0.5000 0.2012 0.0605 (multiplicity 4)
P 0.0000 0.1648 0.7564 (multiplicity 4)
P 0.5000 0.0000 0.2569 (multiplicity 2)

Peak list (10 most intense, 2θ from 15° to 90°, by angle)
2θ/deg, intensity, (hkl)
40.5, 52, 1 0 2
40.6, 100, 1 3 1
44.1, 56, 1 2 2
44.3, 29, 1 4 0
45.2, 21, 0 1 3
45.4, 23, 0 4 2
45.5, 20, 0 5 1
51.8, 26, 0 3 3
56.6, 27, 2 0 0
75.4, 17, 2 4 2

***

Starting from a GGA-PBE-relaxed structure, the powder diffractogram of ScIn2 was computed for Cu Kα (λ = 1.5418 Å).
Peak positions follow from Bragg's law for the DFT cell and can differ from measured ones.

Structure:
Cell: 11.6413 3.4333 7.4514 Å, 90.00 104.10 90.00°
Space group Cm (No. 8)
Symmetry-distinct sites (fractional):
Sc 0.0000 0.0000 0.0000 (multiplicity 2)
Sc 0.1838 0.5000 0.3410 (multiplicity 2)
In 0.0667 0.0000 0.6052 (multiplicity 2)
In 0.2164 0.5000 0.9515 (multiplicity 2)
In 0.3473 0.0000 0.6772 (multiplicity 2)
In 0.4016 0.0000 0.2699 (multiplicity 2)

Peak list (10 most intense, 2θ from 15° to 90°, by angle)
2θ/deg, intensity, (hkl)
17.4, 22, 2 0 -1
30.7, 49, 1 1 1
32.5, 30, 2 0 2
35.3, 60, 4 0 -2
35.4, 100, 3 1 0
35.6, 99, 1 1 -2
36.9, 38, 4 0 1
37.3, 37, 0 0 3
53.4, 19, 0 2 0
56.9, 29, 3 1 3

***

Starting from a GGA-PBE-relaxed structure, the powder diffractogram of Ac2SmNbO8 was computed for Cu Kα (λ = 1.5418 Å).
Peak positions follow from Bragg's law for the DFT cell and can differ from measured ones.

Structure:
Cell: 4.1867 7.4586 5.6928 Å, 90.00 90.17 90.00°
Space group P2/m (No. 10)
Symmetry-distinct sites (fractional):
Ac 0.0000 0.2492 0.0000 (multiplicity 2)
Sm 0.5000 0.5000 0.5000 (multiplicity 1)
Nb 0.5000 0.0000 0.5000 (multiplicity 1)
O 0.0008 0.5000 0.2570 (multiplicity 2)
O 0.0027 0.0000 0.3689 (multiplicity 2)
O 0.4985 0.2069 0.7339 (multiplicity 4)

Peak list (10 most intense, 2θ from 15° to 90°, by angle)
2θ/deg, intensity, (hkl)
26.4, 100, 1 0 1
28.6, 91, 0 2 1
31.4, 24, 0 0 2
32.1, 42, 1 2 0
43.2, 20, 2 0 0
45.6, 62, 1 2 -2
48.8, 13, 0 4 0
52.7, 34, 2 2 1
54.3, 20, 0 2 3
56.4, 25, 1 4 1